The following is a simulated powder XRD pattern of Ba3Sr8Ca. It was derived from a GGA-PBE-relaxed structure, using Cu Kα.
Kinematic intensities with the Lorentz-polarization factor, no thermal factor.

Cell and atoms:
a = 7.4149 Å, b = 7.4149 Å, c = 14.0375 Å
α = 90.00°, β = 90.00°, γ = 120.00°
Space group P-31m (No. 162)
Unique sites:
1 Ba 0.0000 0.0000 0.0000
2 Ba 0.3333 0.6667 0.0000
3 Sr 0.0000 0.3306 0.2574
4 Sr 0.3333 0.6667 0.5000
5 Ca 0.0000 0.0000 0.5000

Top 12 peaks for 10° ≤ 2θ ≤ 80°, low angle first:
2θ (°)	I (rel.)
24.0	10.8
24.8	39.8
25.4	33.1
27.2	100.0
30.8	21.3
40.3	11.4
42.2	25.5
45.9	23.5
49.9	30.6
51.0	17.2
68.3	14.3
69.2	11.0